Record 1
Simulated powder X-ray diffraction pattern
Compound: Na3U4O12
Radiation: Cu Kα
Structure: a crystal structure in Alexandria, relaxed with PBE
Lines closer than 0.1° are merged.

a b c (Å): 7.2139 7.2139 7.2139
angles (deg): 109.47 109.47 109.47
Atoms (fractional coordinates):
1 Na 0.0000 0.5000 0.5000
2 Na 0.5000 0.0000 0.5000
3 Na 0.5000 0.5000 0.0000
4 U 0.0000 0.0000 0.5000
5 U 0.0000 0.5000 0.0000
6 U 0.5000 0.0000 0.0000
7 U 0.5000 0.5000 0.5000
8 O 0.0850 0.2947 0.7903
9 O 0.2097 0.5044 0.2947
10 O 0.2097 0.9150 0.7053
11 O 0.2947 0.2097 0.5044
12 O 0.2947 0.7903 0.0850
13 O 0.4956 0.7053 0.7903
14 O 0.5044 0.2947 0.2097
15 O 0.7053 0.2097 0.9150
16 O 0.7053 0.7903 0.4956
17 O 0.7903 0.0850 0.2947
18 O 0.7903 0.4956 0.7053
19 O 0.9150 0.7053 0.2097

Main lines, sorted by position (15 to 90 degrees two-theta):
d 4.165, I = 100
d 2.945, I = 91
d 2.405, I = 20
d 2.082, I = 25
d 1.863, I = 47
d 1.700, I = 43
d 1.473, I = 15
d 1.388, I = 22
d 1.317, I = 18
d 1.113, I = 23



Record 2
Simulated powder X-ray diffraction pattern
Compound: KRbLiCl3
Radiation: Cu Kα
Structure: a crystal structure in Alexandria, relaxed with PBE
Lines closer than 0.1° are merged.

a b c (Å): 7.4701 7.4701 12.4281
angles (deg): 90.00 90.00 146.42
Atoms (fractional coordinates):
1 K 0.0000 0.0000 0.0000
2 K 0.0000 0.0000 0.5000
3 Rb 0.2509 0.7491 0.7500
4 Rb 0.7491 0.2509 0.2500
5 Li 0.4696 0.5304 0.2500
6 Li 0.5304 0.4696 0.7500
7 Cl 0.0614 0.9386 0.2500
8 Cl 0.3710 0.6290 0.0994
9 Cl 0.3710 0.6290 0.4006
10 Cl 0.6290 0.3710 0.5994
11 Cl 0.6290 0.3710 0.9006
12 Cl 0.9386 0.0614 0.7500

Main lines, sorted by position (15 to 90 degrees two-theta):
d 4.691, I = 44
d 3.583, I = 28
d 3.199, I = 23
d 3.099, I = 100
d 2.925, I = 45
d 2.483, I = 21
d 2.345, I = 28
d 2.226, I = 22
d 2.158, I = 17
d 1.962, I = 22



Record 3
Simulated powder X-ray diffraction pattern
Compound: Li3GaNi
Radiation: Cu Kα
Structure: a crystal structure in Alexandria, relaxed with PBE
Lines closer than 0.1° are merged.

a b c (Å): 5.0162 5.1803 6.4186
angles (deg): 69.85 72.54 85.89
Atoms (fractional coordinates):
1 Li 0.1234 0.2899 0.3817
2 Li 0.1991 0.9353 0.1274
3 Li 0.3735 0.3348 0.7075
4 Li 0.6265 0.6652 0.2925
5 Li 0.8009 0.0647 0.8726
6 Li 0.8766 0.7101 0.6183
7 Ga 0.3379 0.8401 0.6982
8 Ga 0.6621 0.1599 0.3018
9 Ni 0.0000 0.5000 0.0000
10 Ni 0.5000 0.5000 0.0000

Main lines, sorted by position (15 to 90 degrees two-theta):
d 5.759, I = 17
d 4.553, I = 100
d 4.363, I = 25
d 3.471, I = 13
d 2.277, I = 18
d 2.182, I = 23
d 2.175, I = 17
d 2.117, I = 31
d 2.009, I = 28
d 1.840, I = 12



Record 4
Simulated powder X-ray diffraction pattern
Compound: Ce2DyB9
Radiation: Cu Kα
Structure: a crystal structure in Alexandria, relaxed with PBE
Lines closer than 0.1° are merged.

a b c (Å): 9.6949 9.6949 9.6949
angles (deg): 26.43 26.43 26.43
Atoms (fractional coordinates):
1 Ce 0.1179 0.1179 0.1179
2 Ce 0.8821 0.8821 0.8821
3 Dy 0.0000 0.0000 0.0000
4 B 0.0279 0.3933 0.3933
5 B 0.3933 0.0279 0.3933
6 B 0.3933 0.3933 0.0279
7 B 0.4054 0.4054 0.4054
8 B 0.5000 0.5000 0.5000
9 B 0.5946 0.5946 0.5946
10 B 0.6067 0.6067 0.9721
11 B 0.6067 0.9721 0.6067
12 B 0.9721 0.6067 0.6067

Main lines, sorted by position (15 to 90 degrees two-theta):
d 3.803, I = 100
d 3.702, I = 26
d 3.117, I = 23
d 2.772, I = 39
d 2.589, I = 67
d 2.265, I = 21
d 2.216, I = 45
d 1.915, I = 20
d 1.806, I = 38
d 1.341, I = 17



Record 5
Simulated powder X-ray diffraction pattern
Compound: Y2Re3Ru
Radiation: Cu Kα
Structure: a crystal structure in Alexandria, relaxed with PBE
Lines closer than 0.1° are merged.

a b c (Å): 9.1363 5.2839 5.5492
angles (deg): 90.00 123.39 90.00
Atoms (fractional coordinates):
1 Y 0.1257 0.0000 0.3772
2 Y 0.3743 0.5000 0.6228
3 Y 0.6257 0.5000 0.3772
4 Y 0.8743 0.0000 0.6228
5 Re 0.0000 0.5000 0.0000
6 Re 0.2500 0.2500 0.0000
7 Re 0.2500 0.7500 0.0000
8 Re 0.5000 0.0000 0.0000
9 Re 0.7500 0.2500 0.0000
10 Re 0.7500 0.7500 0.0000
11 Ru 0.0000 0.5000 0.5000
12 Ru 0.5000 0.0000 0.5000

Main lines, sorted by position (15 to 90 degrees two-theta):
d 4.633, I = 54
d 4.343, I = 36
d 2.767, I = 32
d 2.375, I = 52
d 2.317, I = 41
d 2.294, I = 95
d 2.256, I = 87
d 2.172, I = 100
d 1.911, I = 24
d 1.383, I = 38



Record 6
Simulated powder X-ray diffraction pattern
Compound: Ce2Pr2Rh3
Radiation: Cu Kα
Structure: a crystal structure in Alexandria, relaxed with PBE
Lines closer than 0.1° are merged.

a b c (Å): 7.6392 7.6392 7.6392
angles (deg): 109.47 109.47 109.47
Atoms (fractional coordinates):
1 Ce 0.0000 0.8884 0.5000
2 Ce 0.5000 0.0000 0.8884
3 Ce 0.6116 0.6116 0.6116
4 Ce 0.8884 0.5000 0.0000
5 Pr 0.0000 0.3796 0.5000
6 Pr 0.1204 0.1204 0.1204
7 Pr 0.3796 0.5000 0.0000
8 Pr 0.5000 0.0000 0.3796
9 Rh 0.1223 0.7500 0.8723
10 Rh 0.2500 0.6277 0.3777
11 Rh 0.3777 0.2500 0.6277
12 Rh 0.6277 0.3777 0.2500
13 Rh 0.7500 0.8723 0.1223
14 Rh 0.8723 0.1223 0.7500

Main lines, sorted by position (15 to 90 degrees two-theta):
d 3.119, I = 16
d 2.789, I = 100
d 2.358, I = 49
d 1.972, I = 9
d 1.881, I = 11
d 1.801, I = 12
d 1.730, I = 31
d 1.431, I = 21
d 1.361, I = 11
d 1.200, I = 18



Record 7
Simulated powder X-ray diffraction pattern
Compound: B2Rh3
Radiation: Cu Kα
Structure: a crystal structure in Alexandria, relaxed with PBE
Lines closer than 0.1° are merged.

a b c (Å): 5.1498 5.1498 5.8775
angles (deg): 116.02 116.02 60.04
Atoms (fractional coordinates):
1 B 0.1610 0.6613 0.9833
2 B 0.3387 0.8390 0.5167
3 B 0.6613 0.1610 0.4833
4 B 0.8390 0.3387 0.0167
5 Rh 0.0753 0.9247 0.7500
6 Rh 0.2498 0.4254 0.2500
7 Rh 0.4254 0.2498 0.7500
8 Rh 0.5746 0.7502 0.2500
9 Rh 0.7502 0.5746 0.7500
10 Rh 0.9247 0.0753 0.2500

Main lines, sorted by position (15 to 90 degrees two-theta):
d 2.575, I = 19
d 2.534, I = 27
d 2.296, I = 100
d 1.806, I = 19
d 1.487, I = 18
d 1.412, I = 21
d 1.282, I = 18
d 1.267, I = 3
d 1.248, I = 13
d 1.148, I = 4



Record 8
Simulated powder X-ray diffraction pattern
Compound: LiNi4W
Radiation: Cu Kα
Structure: a crystal structure in Alexandria, relaxed with PBE
Lines closer than 0.1° are merged.

a b c (Å): 4.6703 4.6703 4.6703
angles (deg): 60.00 60.00 60.00
Atoms (fractional coordinates):
1 Li 0.0000 0.0000 0.0000
2 Ni 0.1243 0.6252 0.6252
3 Ni 0.6252 0.1243 0.6252
4 Ni 0.6252 0.6252 0.1243
5 Ni 0.6252 0.6252 0.6252
6 W 0.2500 0.2500 0.2500

Main lines, sorted by position (15 to 90 degrees two-theta):
d 3.813, I = 36
d 3.302, I = 38
d 2.335, I = 33
d 1.991, I = 100
d 1.907, I = 34
d 1.515, I = 8
d 1.477, I = 14
d 1.348, I = 12
d 1.271, I = 30
d 1.168, I = 19